Theoretical powder XRD pattern
Compound: MnHg3O4
Radiation: Cu Kα (λ = 1.5418 Å)
Structure: a PBE+U-relaxed structure

```
data_MnHg3O4
_cell_length_a 5.9354
_cell_length_b 6.3769
_cell_length_c 8.5476
_cell_angle_alpha 90.00
_cell_angle_beta 90.00
_cell_angle_gamma 90.00
_symmetry_space_group_name_H-M 'I m m 2'
_symmetry_Int_Tables_number 44
_symmetry_space_group_name_Hall 'I 2 -2'
loop_
_atom_site_label
_atom_site_fract_x
_atom_site_fract_y
_atom_site_fract_z
_atom_site_occupancy
Mn1 0.0000 0.0000 0.0000 1
Hg1 0.0000 0.2113 0.3997 1
Hg2 0.0000 0.5000 0.7421 1
O1 0.0000 0.2098 0.1148 1
O2 0.2435 0.0000 0.8918 1
```

The 6 most intense peaks (2θ from 10° to 90°), low angle first:
(hkl), two_theta, I/Imax
0 1 1, 17.35, 50
1 0 1, 18.20, 49
1 1 2, 29.31, 47
2 0 0, 30.11, 51
1 2 1, 33.58, 100
1 0 3, 34.94, 91